Diffraction record for KC2O. The powder diffractogram is simulated, not measured: it uses a PBE-relaxed structure and a wavelength of 1.5418 Å.

Structural model:
Cell: 8.631 8.631 8.631 Å, 158.04 158.04 31.25°
Sites, in units of the cell vectors:
K: 0.375 0.625 0.750
K: 0.625 0.375 0.250
C: 0.000 0.000 0.000
C: 0.000 0.000 0.500
C: 0.000 0.500 0.000
C: 0.500 0.000 0.500
O: 0.125 0.875 0.250
O: 0.875 0.125 0.750

Principal peaks in the range 10 to 90 degrees two-theta, by intensity:
40.3°, rel. 100
21.4°, rel. 54
31.6°, rel. 49
51.3°, rel. 44
43.6°, rel. 35
38.5°, rel. 27
60.6°, rel. 24
55.9°, rel. 16
69.5°, rel. 15
87.1°, rel. 13


Diffraction record for K3SbPCO7. The powder diffractogram is simulated, not measured: it uses a PBE-relaxed structure and a wavelength of 1.5418 Å.

Structural model:
Cell: 6.355 7.086 10.460 Å, 90.00 105.96 90.00°
Sites, in units of the cell vectors:
K: 0.206 0.250 0.057
K: 0.220 0.514 0.687
K: 0.220 0.986 0.687
K: 0.780 0.014 0.313
K: 0.780 0.486 0.313
K: 0.794 0.750 0.943
Sb: 0.278 0.750 0.312
Sb: 0.722 0.250 0.688
P: 0.313 0.250 0.386
P: 0.687 0.750 0.614
C: 0.377 0.750 0.043
C: 0.623 0.250 0.957
O: 0.175 0.250 0.485
O: 0.202 0.750 0.093
O: 0.257 0.073 0.291
O: 0.257 0.427 0.291
O: 0.340 0.750 0.917
O: 0.431 0.250 0.874
O: 0.433 0.750 0.547
O: 0.567 0.250 0.453
O: 0.569 0.750 0.126
O: 0.660 0.250 0.083
O: 0.743 0.573 0.709
O: 0.743 0.927 0.709
O: 0.798 0.250 0.907
O: 0.825 0.750 0.515

Principal peaks in the range 10 to 90 degrees two-theta, by intensity:
29.2°, rel. 100
29.3°, rel. 95
26.6°, rel. 64
14.7°, rel. 62
25.1°, rel. 57
29.8°, rel. 56
31.7°, rel. 52
43.3°, rel. 41
15.3°, rel. 39
45.3°, rel. 38


Diffraction record for KSiPCO7. The powder diffractogram is simulated, not measured: it uses a PBE-relaxed structure and a wavelength of 1.5418 Å.

Structural model:
Cell: 4.940 6.014 9.513 Å, 90.00 98.87 90.00°
Sites, in units of the cell vectors:
K: 0.089 0.000 0.151
K: 0.911 0.500 0.849
Si: 0.277 0.952 0.653
Si: 0.723 0.452 0.347
P: 0.291 0.451 0.558
P: 0.709 0.951 0.442
C: 0.458 0.952 0.887
C: 0.542 0.452 0.113
O: 0.062 0.450 0.430
O: 0.190 0.951 0.834
O: 0.272 0.250 0.656
O: 0.272 0.652 0.656
O: 0.404 0.450 0.223
O: 0.427 0.951 0.495
O: 0.443 0.453 0.985
O: 0.557 0.953 0.015
O: 0.573 0.451 0.505
O: 0.596 0.950 0.777
O: 0.728 0.152 0.344
O: 0.728 0.750 0.344
O: 0.810 0.451 0.166
O: 0.938 0.950 0.570

Principal peaks in the range 10 to 90 degrees two-theta, by intensity:
29.7°, rel. 100
28.4°, rel. 71
28.3°, rel. 47
26.4°, rel. 44
21.8°, rel. 30
39.9°, rel. 19
19.2°, rel. 19
36.6°, rel. 19
31.5°, rel. 18
24.2°, rel. 18


Diffraction record for K2SmPCO7. The powder diffractogram is simulated, not measured: it uses a PBE-relaxed structure and a wavelength of 1.5418 Å.

Structural model:
Cell: 5.758 7.259 10.141 Å, 90.00 90.91 90.00°
Sites, in units of the cell vectors:
K: 0.240 0.015 0.289
K: 0.240 0.485 0.289
K: 0.760 0.515 0.711
K: 0.760 0.985 0.711
Sm: 0.299 0.250 0.884
Sm: 0.701 0.750 0.116
P: 0.210 0.750 0.933
P: 0.790 0.250 0.067
C: 0.246 0.250 0.606
C: 0.754 0.750 0.394
O: 0.061 0.250 0.069
O: 0.072 0.250 0.690
O: 0.211 0.250 0.483
O: 0.300 0.750 0.080
O: 0.302 0.574 0.864
O: 0.302 0.926 0.864
O: 0.453 0.250 0.661
O: 0.547 0.750 0.339
O: 0.698 0.074 0.136
O: 0.698 0.426 0.136
O: 0.700 0.250 0.920
O: 0.789 0.750 0.517
O: 0.928 0.750 0.310
O: 0.939 0.750 0.931

Principal peaks in the range 10 to 90 degrees two-theta, by intensity:
15.0°, rel. 100
19.7°, rel. 88
30.3°, rel. 88
23.6°, rel. 66
30.5°, rel. 66
23.2°, rel. 62
31.1°, rel. 53
30.9°, rel. 46
24.5°, rel. 45
26.1°, rel. 44